Entry 1:
For DyNb2Ge2, a crystal structure in Alexandria, relaxed with PBE gives the theoretical PXRD pattern in this record (a wavelength of 1.5418 Å).
No peak broadening, texture or thermal motion is included.

Top 8 peaks for 2θ = 15–90°, low angle first:
2theta	I_rel	(hkl)
31.36	38.8	1 0 3
34.69	100.0	1 1 2
43.68	41.2	1 0 5
44.77	39.7	2 0 0
55.68	15.3	2 1 3
64.35	20.5	2 1 5
65.17	12.7	2 2 0
75.99	19.9	3 1 2

Crystal structure
a b c (Å): 4.0486 4.0486 12.0551
angles (deg): 90.00 90.00 90.00
Space group I4/mmm (No. 139)
Asymmetric unit:
Dy1 0.0000 0.0000 0.0000
Nb1 0.0000 0.5000 0.2500
Ge1 0.0000 0.0000 0.3973



Entry 2:
For Dy2Nb3Ge4, a crystal structure in Alexandria, relaxed with PBE gives the theoretical PXRD pattern in this record (a wavelength of 1.5418 Å).
No peak broadening, texture or thermal motion is included.

Top 8 peaks for 2θ = 15–90°, low angle first:
2theta	I_rel	(hkl)
34.29	100.0	1 3 2
34.65	96.2	2 3 1
36.36	51.3	0 4 2
38.96	22.9	2 4 1
39.82	24.7	0 6 0
40.26	30.8	1 1 3
40.53	53.7	3 0 1
61.73	22.1	3 4 3

Crystal structure
a b c (Å): 7.0213 13.5835 7.2003
angles (deg): 90.00 90.00 90.00
Space group Pnma (No. 62)
Asymmetric unit:
Dy1 0.0035 0.0951 0.1737
Nb1 0.1594 0.6268 0.3289
Nb2 0.1649 0.2500 0.5124
Ge1 0.0397 0.2500 0.8790
Ge2 0.1745 0.0418 0.5388
Ge3 0.1942 0.7500 0.6380



Entry 3:
For Nd3DyGe2, a crystal structure in Alexandria, relaxed with PBE gives the theoretical PXRD pattern in this record (a wavelength of 1.5418 Å).
No peak broadening, texture or thermal motion is included.

Top 8 peaks for 2θ = 15–90°, low angle first:
2theta	I_rel	(hkl)
30.03	100.0	3 1 -1
32.56	28.1	6 0 0
33.78	15.6	4 0 1
35.57	61.8	3 1 1
39.52	25.7	0 2 0
40.40	24.2	2 0 -2
52.84	29.9	8 0 -2
57.80	16.9	2 2 -2

Crystal structure
a b c (Å): 17.0879 4.5604 4.4652
angles (deg): 90.00 105.09 90.00
Space group C2/m (No. 12)
Asymmetric unit:
Nd1 0.0000 0.0000 0.0000
Nd2 0.1810 0.0000 0.6807
Dy1 0.0000 0.5000 0.5000
Ge1 0.1332 0.5000 0.1324



Entry 4:
For Nd2DyGe, a crystal structure in Alexandria, relaxed with PBE gives the theoretical PXRD pattern in this record (a wavelength of 1.5418 Å).
No peak broadening, texture or thermal motion is included.

Top 8 peaks for 2θ = 15–90°, low angle first:
2theta	I_rel	(hkl)
32.51	100.0	1 1 1
37.32	17.2	0 0 2
37.91	33.0	2 0 0
54.26	23.4	2 0 2
64.30	14.0	1 1 3
65.09	26.9	3 1 1
68.09	11.8	2 2 2
89.33	11.8	3 1 3

Crystal structure
a b c (Å): 4.7464 4.7464 4.8185
angles (deg): 90.00 90.00 90.00
Space group P4/mmm (No. 123)
Asymmetric unit:
Nd1 0.0000 0.5000 0.0000
Dy1 0.0000 0.0000 0.5000
Ge1 0.5000 0.5000 0.5000



Entry 5:
For Nd2DyGe4Pt3, a crystal structure in Alexandria, relaxed with PBE gives the theoretical PXRD pattern in this record (a wavelength of 1.5418 Å).
No peak broadening, texture or thermal motion is included.

Top 8 peaks for 2θ = 15–90°, low angle first:
2theta	I_rel	(hkl)
30.36	36.9	1 1 1
31.53	60.7	1 0 3
33.39	100.0	1 1 2
41.89	70.8	2 0 0
43.68	36.1	1 1 4
53.37	31.3	2 1 3
60.74	23.7	2 2 0
71.11	22.2	3 1 2

Crystal structure
a b c (Å): 4.3130 4.3130 11.3000
angles (deg): 90.00 90.00 90.00
Space group P-4m2 (No. 115)
Asymmetric unit:
Nd1 0.0000 0.5000 0.2314
Dy1 0.0000 0.0000 0.5000
Ge1 0.0000 0.0000 0.0000
Ge2 0.0000 0.5000 0.6629
Ge3 0.5000 0.5000 0.0000
Pt1 0.0000 0.5000 0.8827
Pt2 0.5000 0.5000 0.5000



Entry 6:
For Nd2DyZn2Ge2, a crystal structure in Alexandria, relaxed with PBE gives the theoretical PXRD pattern in this record (a wavelength of 1.5418 Å).
No peak broadening, texture or thermal motion is included.

Top 8 peaks for 2θ = 15–90°, low angle first:
2theta	I_rel	(hkl)
24.77	34.0	1 0 1
30.77	85.0	1 0 7
32.43	100.0	0 1 8
36.15	34.3	1 0 10
43.36	79.6	1 1 0
55.18	22.0	2 0 8
60.10	26.9	1 1 15
66.55	23.0	1 1 18

Crystal structure
a b c (Å): 4.1735 4.1735 34.2102
angles (deg): 90.00 90.00 120.00
Space group R-3m (No. 166, hexagonal axes)
Asymmetric unit:
Nd1 0.0000 0.0000 0.1212
Dy1 0.0000 0.0000 0.0000
Zn1 0.0000 0.0000 0.3951
Ge1 0.0000 0.0000 0.2763



Entry 7:
For DyNiGe2, a crystal structure in Alexandria, relaxed with PBE gives the theoretical PXRD pattern in this record (a wavelength of 1.5418 Å).
No peak broadening, texture or thermal motion is included.

Top 8 peaks for 2θ = 15–90°, low angle first:
2theta	I_rel	(hkl)
26.71	23.7	1 1 1
34.12	100.0	2 1 0
34.99	41.5	0 0 4
35.28	35.1	2 1 1
36.59	77.2	1 1 3
43.86	42.2	0 2 0
48.13	32.4	3 0 3
49.68	24.1	2 1 4

Crystal structure
a b c (Å): 6.8069 4.1284 10.2589
angles (deg): 90.00 90.00 90.00
Space group Pnma (No. 62)
Asymmetric unit:
Dy1 0.1795 0.2500 0.1323
Ni1 0.0100 0.7500 0.3625
Ge1 0.1377 0.2500 0.8387
Ge2 0.1585 0.2500 0.4345



Entry 8:
For Dy2NiGe6, a crystal structure in Alexandria, relaxed with PBE gives the theoretical PXRD pattern in this record (a wavelength of 1.5418 Å).
No peak broadening, texture or thermal motion is included.

Top 8 peaks for 2θ = 15–90°, low angle first:
2theta	I_rel	(hkl)
33.45	37.7	0 0 8
33.80	100.0	1 1 3
37.86	22.7	1 1 5
44.25	17.7	0 1 9
44.60	23.4	2 0 0
45.14	22.6	0 2 0
57.32	21.7	0 2 8
65.33	15.0	2 2 0

Crystal structure
a b c (Å): 4.0633 4.0170 21.4077
angles (deg): 90.00 90.00 90.00
Space group Amm2 (No. 38)
Asymmetric unit:
Dy1 0.0000 0.0000 0.0000
Dy2 0.0000 0.0000 0.3361
Ni1 0.5000 0.0000 0.7783
Ge1 0.0000 0.0000 0.6045
Ge2 0.0000 0.0000 0.7213
Ge3 0.5000 0.0000 0.1035
Ge4 0.5000 0.0000 0.2210
Ge5 0.5000 0.0000 0.4601
Ge6 0.5000 0.0000 0.8858



Entry 9:
For Dy4NiGe8, a crystal structure in Alexandria, relaxed with PBE gives the theoretical PXRD pattern in this record (a wavelength of 1.5418 Å).
No peak broadening, texture or thermal motion is included.

Top 8 peaks for 2θ = 15–90°, low angle first:
2theta	I_rel	(hkl)
24.87	16.0	1 0 2
33.23	15.4	0 0 6
35.34	19.8	0 1 5
35.53	100.0	1 1 3
40.36	16.4	1 0 6
44.19	18.7	0 2 0
45.42	17.4	2 0 0
65.24	11.7	2 2 0

Crystal structure
a b c (Å): 3.9933 4.0987 16.1772
angles (deg): 90.00 90.00 90.00
Space group Pmm2 (No. 25)
Asymmetric unit:
Dy1 0.0000 0.0000 0.0000
Dy2 0.0000 0.5000 0.4962
Dy3 0.5000 0.0000 0.7896
Dy4 0.5000 0.5000 0.2886
Ni1 0.0000 0.5000 0.7083
Ge1 0.0000 0.0000 0.3373
Ge2 0.0000 0.0000 0.6332
Ge3 0.0000 0.5000 0.1417
Ge4 0.0000 0.5000 0.8523
Ge5 0.5000 0.0000 0.1472
Ge6 0.5000 0.0000 0.4404
Ge7 0.5000 0.5000 0.6327
Ge8 0.5000 0.5000 0.9528



Entry 10:
For Dy3NiGe3, a crystal structure in Alexandria, relaxed with PBE gives the theoretical PXRD pattern in this record (a wavelength of 1.5418 Å).
No peak broadening, texture or thermal motion is included.

Top 8 peaks for 2θ = 15–90°, low angle first:
2theta	I_rel	(hkl)
32.93	59.6	1 1 3
33.21	42.6	3 1 -1
33.42	100.0	1 1 -4
34.02	43.1	4 0 -2
37.95	29.4	3 1 -4
40.69	66.7	3 1 2
42.70	47.7	0 2 0
55.68	23.4	4 2 -2

Crystal structure
a b c (Å): 10.5503 4.2347 13.8575
angles (deg): 90.00 110.16 90.00
Space group C2/m (No. 12)
Asymmetric unit:
Dy1 0.0316 0.0000 0.3823
Dy2 0.0980 0.0000 0.9209
Dy3 0.2460 0.0000 0.2292
Ni1 0.2457 0.5000 0.3982
Ge1 0.0412 0.5000 0.2381
Ge2 0.1253 0.5000 0.0765
Ge3 0.1428 0.5000 0.5439



Entry 11:
For Dy3Ni6Ge5, a crystal structure in Alexandria, relaxed with PBE gives the theoretical PXRD pattern in this record (a wavelength of 1.5418 Å).
No peak broadening, texture or thermal motion is included.

Top 8 peaks for 2θ = 15–90°, low angle first:
2theta	I_rel	(hkl)
31.41	24.4	1 3 0
36.58	31.3	0 3 3
36.83	42.4	1 0 3
37.07	100.0	1 3 2
44.62	28.5	0 6 0
45.43	31.2	2 0 0
59.18	14.1	1 6 3
59.69	14.9	2 3 3

Crystal structure
a b c (Å): 3.9926 12.1878 9.2518
angles (deg): 90.00 90.00 90.00
Space group Pmmn (No. 59, origin choice 2)
Asymmetric unit:
Dy1 0.2500 0.0786 0.2449
Dy2 0.2500 0.7500 0.2479
Ni1 0.2500 0.0596 0.5919
Ni2 0.2500 0.2500 0.4959
Ni3 0.2500 0.2500 0.9987
Ni4 0.2500 0.5830 0.0019
Ge1 0.2500 0.0837 0.8559
Ge2 0.2500 0.6311 0.5258
Ge3 0.2500 0.7500 0.8547



Entry 12:
For DyNi4Ge2, a crystal structure in Alexandria, relaxed with PBE gives the theoretical PXRD pattern in this record (a wavelength of 1.5418 Å).
No peak broadening, texture or thermal motion is included.

Top 8 peaks for 2θ = 15–90°, low angle first:
2theta	I_rel	(hkl)
25.83	20.2	1 0 1
30.37	35.0	1 0 4
32.81	22.1	0 1 5
38.66	76.5	1 0 7
41.96	27.4	0 1 8
44.96	100.0	1 1 0
59.57	19.3	1 1 9
60.76	19.3	0 2 7

Crystal structure
a b c (Å): 4.0328 4.0328 21.8765
angles (deg): 90.00 90.00 120.00
Space group R-3m (No. 166, hexagonal axes)
Asymmetric unit:
Dy1 0.0000 0.0000 0.0000
Ni1 0.0000 0.0000 0.1415
Ni2 0.0000 0.0000 0.4392
Ge1 0.0000 0.0000 0.2492